(1)
# Tb3Pm6Y2Th
Simulated powder diffractogram, copper Kα. Input: a GGA-PBE-relaxed structure.

Structural model:
Unit cell a=6.253 b=6.253 c=11.975 alpha=95.01 beta=95.01 gamma=119.95
Atoms (fractional coordinates):
Tb  0.000  0.000  0.000
Tb  0.333  0.667  0.000
Tb  0.667  0.333  0.000
Pm  0.087  0.417  0.250
Pm  0.254  0.254  0.749
Pm  0.417  0.087  0.250
Pm  0.583  0.913  0.750
Pm  0.746  0.746  0.251
Pm  0.913  0.583  0.750
Y  0.167  0.833  0.500
Y  0.833  0.167  0.500
Th  0.500  0.500  0.500

Peak list (8 most intense, 2θ = 10–90°, low angle first)
2θ (°)	intensity
30.32	100
35.15	51
50.56	36
60.10	43
63.07	12
74.30	6
82.31	18
84.94	16

=====

(2)
# AcSnPd2
Simulated powder diffractogram, copper Kα. Input: a GGA-PBE-relaxed structure.

Structural model:
Unit cell a=7.883 b=7.210 c=6.657 alpha=90.00 beta=90.00 gamma=90.00
Atoms (fractional coordinates):
Ac  0.023  0.250  0.171
Ac  0.477  0.750  0.671
Ac  0.523  0.250  0.329
Ac  0.977  0.750  0.829
Sn  0.127  0.750  0.331
Sn  0.373  0.250  0.831
Sn  0.627  0.750  0.169
Sn  0.873  0.250  0.669
Pd  0.177  0.052  0.569
Pd  0.177  0.448  0.569
Pd  0.323  0.552  0.069
Pd  0.323  0.948  0.069
Pd  0.677  0.052  0.931
Pd  0.677  0.448  0.931
Pd  0.823  0.552  0.431
Pd  0.823  0.948  0.431

Peak list (8 most intense, 2θ = 10–90°, low angle first)
2θ (°)	intensity
29.10	77
30.39	25
31.71	100
33.69	54
36.37	43
36.76	86
41.56	26
49.89	29

=====

(3)
# TaTl
Simulated powder diffractogram, copper Kα. Input: a GGA-PBE-relaxed structure.

Structural model:
Unit cell a=10.278 b=10.278 c=10.278 alpha=18.35 beta=18.35 gamma=18.35
Atoms (fractional coordinates):
Ta  0.135  0.135  0.135
Ta  0.865  0.865  0.865
Tl  0.383  0.383  0.383
Tl  0.617  0.617  0.617

Peak list (8 most intense, 2θ = 10–90°, low angle first)
2θ (°)	intensity
26.47	11
33.72	100
35.55	18
39.68	54
50.67	10
56.13	25
67.11	14
68.23	17

=====

(4)
# PrCu12Pt6
Simulated powder diffractogram, copper Kα. Input: a GGA-PBE-relaxed structure.

Structural model:
Unit cell a=6.928 b=6.928 c=6.928 alpha=103.80 beta=103.80 gamma=103.80
Atoms (fractional coordinates):
Pr  0.000  0.000  0.000
Cu  0.108  0.374  0.374
Cu  0.108  0.500  0.892
Cu  0.108  0.892  0.500
Cu  0.374  0.108  0.374
Cu  0.374  0.374  0.108
Cu  0.500  0.108  0.892
Cu  0.500  0.892  0.108
Cu  0.626  0.626  0.892
Cu  0.626  0.892  0.626
Cu  0.892  0.108  0.500
Cu  0.892  0.500  0.108
Cu  0.892  0.626  0.626
Pt  0.290  0.290  0.694
Pt  0.290  0.694  0.290
Pt  0.306  0.710  0.710
Pt  0.694  0.290  0.290
Pt  0.710  0.306  0.710
Pt  0.710  0.710  0.306

Peak list (8 most intense, 2θ = 10–90°, low angle first)
2θ (°)	intensity
27.01	96
27.93	50
32.48	34
42.44	100
43.04	99
46.04	75
46.88	53
52.87	37

=====

(5)
# Pm2Nd8Th3
Simulated powder diffractogram, copper Kα. Input: a GGA-PBE-relaxed structure.

Structural model:
Unit cell a=7.503 b=7.503 c=8.833 alpha=105.10 beta=105.10 gamma=95.21
Atoms (fractional coordinates):
Pm  0.228  0.228  0.037
Pm  0.772  0.772  0.963
Nd  0.080  0.596  0.319
Nd  0.093  0.093  0.350
Nd  0.403  0.403  0.785
Nd  0.404  0.920  0.681
Nd  0.596  0.080  0.319
Nd  0.597  0.597  0.215
Nd  0.907  0.907  0.650
Nd  0.920  0.404  0.681
Th  0.238  0.762  0.000
Th  0.500  0.500  0.500
Th  0.762  0.238  0.000

Peak list (8 most intense, 2θ = 10–90°, low angle first)
2θ (°)	intensity
27.95	46
29.74	19
30.16	100
31.60	25
32.31	43
35.70	15
37.74	17
56.29	16

=====

(6)
# Ta2AgPb3O9
Simulated powder diffractogram, copper Kα. Input: a GGA-PBE-relaxed structure.

Structural model:
Unit cell a=5.873 b=5.873 c=7.214 alpha=90.00 beta=90.00 gamma=120.00
Atoms (fractional coordinates):
Ta  0.333  0.667  0.160
Ta  0.667  0.333  0.840
Ag  0.000  0.000  0.500
Pb  0.000  0.000  0.000
Pb  0.333  0.667  0.626
Pb  0.667  0.333  0.374
O  0.000  0.500  0.000
O  0.177  0.355  0.318
O  0.177  0.823  0.318
O  0.355  0.177  0.682
O  0.500  0.000  0.000
O  0.500  0.500  0.000
O  0.645  0.823  0.318
O  0.823  0.177  0.682
O  0.823  0.645  0.682

Peak list (8 most intense, 2θ = 10–90°, low angle first)
2θ (°)	intensity
30.41	100
43.55	26
53.94	8
54.07	31
63.35	9
71.77	7
71.87	9
87.92	10

=====

(7)
# Dy3ScAl8
Simulated powder diffractogram, copper Kα. Input: a GGA-PBE-relaxed structure.

Structural model:
Unit cell a=5.505 b=5.505 c=9.032 alpha=90.00 beta=90.00 gamma=120.00
Atoms (fractional coordinates):
Dy  0.000  0.000  0.000
Dy  0.000  0.000  0.366
Dy  0.333  0.667  0.862
Sc  0.333  0.667  0.499
Al  0.009  0.505  0.184
Al  0.324  0.162  0.678
Al  0.495  0.505  0.184
Al  0.495  0.991  0.184
Al  0.667  0.333  0.432
Al  0.667  0.333  0.929
Al  0.838  0.162  0.678
Al  0.838  0.676  0.678

Peak list (8 most intense, 2θ = 10–90°, low angle first)
2θ (°)	intensity
18.61	44
21.07	46
27.20	27
32.53	72
35.26	100
38.30	71
39.08	37
59.82	41

=====

(8)
# PrAl20V2
Simulated powder diffractogram, copper Kα. Input: a GGA-PBE-relaxed structure.

Structural model:
Unit cell a=10.303 b=10.303 c=10.303 alpha=60.00 beta=60.00 gamma=60.00
Atoms (fractional coordinates):
Pr  0.125  0.125  0.125
Pr  0.875  0.875  0.875
Al  0.000  0.000  0.000
Al  0.000  0.000  0.500
Al  0.000  0.500  0.000
Al  0.057  0.326  0.326
Al  0.057  0.326  0.790
Al  0.057  0.790  0.326
Al  0.210  0.674  0.674
Al  0.210  0.674  0.943
Al  0.210  0.943  0.674
Al  0.237  0.237  0.513
Al  0.237  0.513  0.237
Al  0.237  0.513  0.513
Al  0.326  0.057  0.326
Al  0.326  0.057  0.790
Al  0.326  0.326  0.057
Al  0.326  0.326  0.790
Al  0.326  0.790  0.057
Al  0.326  0.790  0.326
Al  0.487  0.487  0.763
Al  0.487  0.763  0.487
Al  0.487  0.763  0.763
Al  0.500  0.000  0.000
Al  0.513  0.237  0.237
Al  0.513  0.237  0.513
Al  0.513  0.513  0.237
Al  0.674  0.210  0.674
Al  0.674  0.210  0.943
Al  0.674  0.674  0.210
Al  0.674  0.674  0.943
Al  0.674  0.943  0.210
Al  0.674  0.943  0.674
Al  0.763  0.487  0.487
Al  0.763  0.487  0.763
Al  0.763  0.763  0.487
Al  0.790  0.057  0.326
Al  0.790  0.326  0.057
Al  0.790  0.326  0.326
Al  0.943  0.210  0.674
Al  0.943  0.674  0.210
Al  0.943  0.674  0.674
V  0.000  0.500  0.500
V  0.500  0.000  0.500
V  0.500  0.500  0.000
V  0.500  0.500  0.500

Peak list (8 most intense, 2θ = 10–90°, low angle first)
2θ (°)	intensity
17.21	51
20.21	87
34.83	46
36.48	100
39.10	68
40.60	93
41.09	69
53.35	45